This entry pairs a crystal structure of Rb2Zn2Au3 with its theoretical XRD peak list. Radiation: Cu Kα, 1.54184 Å. Structure: a crystal structure in Alexandria, relaxed with GGA-PBE.
Intensities are scaled so that the largest is 100.

Structural model:
```
data_Rb2Zn2Au3
_symmetry_space_group_name_H-M 'P -1'
_symmetry_Int_Tables_number 2
_symmetry_space_group_name_Hall '-P 1'
_cell_length_a 4.5414
_cell_length_b 6.6028
_cell_length_c 7.3034
_cell_angle_alpha 102.85
_cell_angle_beta 107.58
_cell_angle_gamma 90.03
loop_
_atom_site_label
_atom_site_type_symbol
_atom_site_fract_x
_atom_site_fract_y
_atom_site_fract_z
_atom_site_occupancy
Rb1 Rb 0.1378 0.0532 0.2712 1
Zn1 Zn 0.3933 0.4758 0.7879 1
Au1 Au 0.0000 0.5000 0.0000 1
Au2 Au 0.2100 0.5752 0.4185 1
```

Most intense lines, 10° ≤ 2θ ≤ 80°, in order of rising 2θ:
Position (°2θ)  d/Å  Rel. int.
13.79  6.420  100
27.79  3.210  38
32.66  2.742  14
33.56  2.670  37
38.27  2.352  23
38.57  2.334  35
39.70  2.271  24
49.15  1.854  17